[1]
For ScTl3Te3, a crystal structure in Alexandria, relaxed with PBE gives the computed powder diffractogram in this record (Cu Kα, 1.54184 Å).
Kinematic intensities with the Lorentz-polarization factor, no thermal factor.

Cell and atoms:
```
ScTl3Te3
1.0
4.0484 -6.4518 0.0000
4.0484 6.4518 0.0000
-2.0225 0.0000 9.8696
Sc Tl Te
2 6 6
direct
0.1479 0.1479 0.1640
0.8521 0.8521 0.8360
0.1554 0.8446 0.5000
0.2910 0.7090 0.0000
0.3898 0.3898 0.6265
0.6102 0.6102 0.3735
0.7090 0.2910 0.0000
0.8446 0.1554 0.5000
0.1352 0.4811 0.2862
0.2081 0.2081 0.8980
0.4811 0.1352 0.2862
0.5189 0.8648 0.7138
0.7919 0.7919 0.1020
0.8648 0.5189 0.7138
```

Peak list (12 most intense, 2θ = 10–80°, sorted by position)
2θ/deg	I_rel
25.8	12
26.0	100
28.1	48
29.4	68
31.7	23
34.0	16
39.1	26
42.0	13
42.5	12
44.7	25
53.1	15
56.5	12

---

[2]
For CaPaPdS4, a crystal structure in Alexandria, relaxed with PBE gives the computed powder diffractogram in this record (Cu Kα, 1.54184 Å).
Kinematic intensities with the Lorentz-polarization factor, no thermal factor.

Cell and atoms:
```
CaPaPdS4
1.0
6.9503 0.0000 0.0000
0.0000 5.4822 0.0000
-3.4669 0.0000 7.7355
Ca Pa Pd S
2 2 2 8
direct
0.2059 0.2500 0.4580
0.7941 0.7500 0.5420
0.2276 0.2500 0.9474
0.7724 0.7500 0.0526
0.2894 0.7500 0.2266
0.7106 0.2500 0.7734
0.0608 0.7500 0.9087
0.0690 0.7500 0.3781
0.4414 0.5117 0.7835
0.4414 0.9883 0.7835
0.5586 0.0117 0.2165
0.5586 0.4883 0.2165
0.9310 0.2500 0.6219
0.9392 0.2500 0.0913
```

Peak list (12 most intense, 2θ = 10–80°, sorted by position)
2θ/deg	I_rel
11.4	100
19.8	42
21.4	44
27.0	68
28.2	46
31.6	26
32.7	53
35.7	58
42.8	32
42.9	25
43.7	36
46.0	20

---

[3]
For Ba2Ga3Ag17, a crystal structure in Alexandria, relaxed with PBE gives the computed powder diffractogram in this record (Cu Kα, 1.54184 Å).
Kinematic intensities with the Lorentz-polarization factor, no thermal factor.

Cell and atoms:
```
Ba2Ga3Ag17
1.0
5.3004 3.0602 4.9608
-5.3004 3.0602 4.9608
0.0000 -6.1204 4.9608
Ba Ga Ag
2 3 17
direct
0.1608 0.1608 0.1608
0.8392 0.8392 0.8392
0.0000 0.0000 0.5000
0.0000 0.5000 0.0000
0.5000 0.0000 0.0000
0.0000 0.5000 0.5000
0.1744 0.1744 0.6657
0.1744 0.6657 0.1744
0.2393 0.5000 0.7607
0.2393 0.7607 0.5000
0.3343 0.8256 0.8256
0.4039 0.4039 0.4039
0.5000 0.0000 0.5000
0.5000 0.2393 0.7607
0.5000 0.5000 0.0000
0.5000 0.7607 0.2393
0.5961 0.5961 0.5961
0.6657 0.1744 0.1744
0.7607 0.2393 0.5000
0.7607 0.5000 0.2393
0.8256 0.3343 0.8256
0.8256 0.8256 0.3343
```

Peak list (12 most intense, 2θ = 10–80°, sorted by position)
2θ/deg	I_rel
11.3	21
33.8	100
34.4	53
35.4	28
36.2	47
38.5	41
39.7	23
39.9	23
40.1	20
49.0	22
50.4	39
71.2	26

---

[4]
For Tb4Pr3Er2, a crystal structure in Alexandria, relaxed with PBE gives the computed powder diffractogram in this record (Cu Kα, 1.54184 Å).
Kinematic intensities with the Lorentz-polarization factor, no thermal factor.

Cell and atoms:
```
Tb4Pr3Er2
1.0
6.2209 0.0000 0.0000
-3.1073 5.4012 0.0000
-0.0260 -3.5790 8.8332
Tb Pr Er
4 3 2
direct
0.1643 0.3314 0.9999
0.2767 0.8872 0.3334
0.7233 0.1128 0.6666
0.8357 0.6686 0.0001
0.3874 0.4428 0.6662
0.5000 0.0000 0.0000
0.6126 0.5572 0.3338
0.0544 0.7759 0.6660
0.9456 0.2241 0.3340
```

Peak list (12 most intense, 2θ = 10–80°, sorted by position)
2θ/deg	I_rel
30.4	100
30.5	33
35.2	45
35.3	22
50.6	8
50.7	24
50.8	16
60.2	14
60.3	24
60.4	19
63.2	8
74.5	5

---

[5]
For Tb2ZnBr2, a crystal structure in Alexandria, relaxed with PBE gives the computed powder diffractogram in this record (Cu Kα, 1.54184 Å).
Kinematic intensities with the Lorentz-polarization factor, no thermal factor.

Cell and atoms:
```
Tb2ZnBr2
1.0
1.9714 1.1382 11.3869
-1.9714 1.1382 11.3869
0.0000 -2.2764 11.3869
Tb Zn Br
2 1 2
direct
0.1115 0.1115 0.1115
0.8885 0.8885 0.8885
0.5000 0.5000 0.5000
0.2762 0.2762 0.2762
0.7238 0.7238 0.7238
```

Peak list (12 most intense, 2θ = 10–80°, sorted by position)
2θ/deg	I_rel
15.6	19
26.2	11
29.2	100
33.6	38
37.2	23
43.5	37
46.0	37
47.9	11
55.5	16
65.2	11
68.6	22
74.9	14

---

[6]
For Tb2Fe4Si9, a crystal structure in Alexandria, relaxed with PBE gives the computed powder diffractogram in this record (Cu Kα, 1.54184 Å).
Kinematic intensities with the Lorentz-polarization factor, no thermal factor.

Cell and atoms:
```
Tb2Fe4Si9
1.0
3.9494 0.0000 0.0000
-1.9747 3.4203 0.0000
0.0000 0.0000 16.1118
Tb Fe Si
2 4 9
direct
0.3333 0.6667 0.2424
0.6667 0.3333 0.7576
0.3333 0.6667 0.5881
0.3333 0.6667 0.8994
0.6667 0.3333 0.1006
0.6667 0.3333 0.4119
0.0000 0.0000 0.1256
0.0000 0.0000 0.3512
0.0000 0.0000 0.5000
0.0000 0.0000 0.6488
0.0000 0.0000 0.8744
0.3333 0.6667 0.0429
0.3333 0.6667 0.4337
0.6667 0.3333 0.5663
0.6667 0.3333 0.9571
```

Peak list (12 most intense, 2θ = 10–80°, sorted by position)
2θ/deg	I_rel
11.0	14
26.1	19
26.6	37
31.0	100
33.4	22
38.4	44
42.8	40
46.0	72
56.5	18
58.0	26
58.2	18
75.7	14